For FeSe4O10, a cell relaxed with GGA+U gives the theoretical powder diffraction line list in this record (Cu Ka).
Intensities are scaled so that the largest is 100.

Top 10 peaks for 2θ from 15° to 90°, most intense first:
d_spacing  I (rel.)  index
3.464  100  1 1 2
2.917  71  1 2 1
1.732  31  1 2 5
4.211  30  1 1 1
3.142  29  0 1 3
2.791  22  2 1 0
1.639  19  2 3 3
3.041  16  2 0 0
2.636  15  0 0 4
1.828  13  3 1 2

Structural model:
a b c (Å): 6.0859 7.0023 10.5470
angles (deg): 90.00 90.00 90.00
Fractional coordinates of all 30 atoms:
Fe 0.0000 0.0000 0.0000
Fe 0.0000 0.5000 0.5000
Se 0.2178 0.1495 0.2916
Se 0.2178 0.3505 0.7916
Se 0.2886 0.6459 0.1086
Se 0.2886 0.8541 0.6086
Se 0.7114 0.1459 0.6086
Se 0.7114 0.3541 0.1086
Se 0.7822 0.6495 0.7916
Se 0.7822 0.8505 0.2916
O 0.0000 0.0000 0.3680
O 0.0000 0.5000 0.8680
O 0.1091 0.1809 0.1431
O 0.1091 0.3191 0.6431
O 0.1642 0.1407 0.8627
O 0.1642 0.3593 0.3627
O 0.2638 0.6755 0.4997
O 0.2638 0.8245 0.9997
O 0.4267 0.7416 0.2313
O 0.4267 0.7584 0.7313
O 0.5000 0.0000 0.5200
O 0.5000 0.5000 0.0200
O 0.5733 0.2416 0.7313
O 0.5733 0.2584 0.2313
O 0.7362 0.1755 0.9997
O 0.7362 0.3245 0.4997
O 0.8358 0.6407 0.3627
O 0.8358 0.8593 0.8627
O 0.8909 0.6809 0.6431
O 0.8909 0.8191 0.1431